1.
# Li4NiSn2Hg
Calculated powder diffractogram, Cu Kα. Input: DFT lattice parameters and positions (PBE).
No peak broadening, texture or thermal motion is included.

Atomic structure:
Cell lengths 4.4802, 4.4802, 6.6061 Å; angles 90.00, 90.00, 90.00 degrees
Element x y z (fractional)
Li 0.0000 0.0000 0.0000
Li 0.0000 0.5000 0.2324
Li 0.5000 0.0000 0.7676
Li 0.5000 0.5000 0.5000
Ni 0.5000 0.5000 0.0000
Sn 0.0000 0.5000 0.7866
Sn 0.5000 0.0000 0.2134
Hg 0.0000 0.0000 0.5000

Main lines, sorted by position (2θ from 10° to 90°):
2θ (°)  I_rel
19.82  12
24.00  100
31.31  16
39.41  61
40.26  32
45.92  15
47.42  33
58.25  11
62.69  12
72.61  21


2.
# TaNbS4
Calculated powder diffractogram, Cu Kα. Input: DFT lattice parameters and positions (PBE).
No peak broadening, texture or thermal motion is included.

Atomic structure:
Cell lengths 3.3352, 13.3052, 5.7931 Å; angles 90.00, 90.00, 90.00 degrees
Element x y z (fractional)
Ta 0.0000 0.0000 0.0000
Ta 0.0000 0.5000 0.5000
Nb 0.5000 0.0000 0.5123
Nb 0.5000 0.5000 0.0123
S 0.0000 0.1191 0.6752
S 0.0000 0.3809 0.1752
S 0.0000 0.6191 0.1752
S 0.0000 0.8809 0.6752
S 0.5000 0.1163 0.1717
S 0.5000 0.3837 0.6717
S 0.5000 0.6163 0.6717
S 0.5000 0.8837 0.1717

Main lines, sorted by position (2θ from 10° to 90°):
2θ (°)  I_rel
13.31  100
16.69  10
30.87  9
31.68  36
33.75  18
37.13  42
41.33  20
46.38  24
55.41  16
71.13  7